Entry 1:
For Sc5As2C, a PBE-relaxed structure gives the calculated powder X-ray diffraction pattern in this record (Cu Kα).
Intensities are scaled so that the largest is 100.

Cell and atoms:
a = 10.6018 Å, b = 7.5080 Å, c = 7.3212 Å
α = 90.00°, β = 90.00°, γ = 90.00°
Element x y z (fractional)
1 Sc 0.0001 0.2500 0.0007
2 Sc 0.9999 0.7500 0.9993
3 Sc 0.0606 0.0010 0.6791
4 Sc 0.0606 0.4990 0.6791
5 Sc 0.1913 0.2500 0.3727
6 Sc 0.1913 0.7500 0.3735
7 Sc 0.3087 0.2500 0.8735
8 Sc 0.3087 0.7500 0.8727
9 Sc 0.4394 0.5010 0.1791
10 Sc 0.4394 0.9990 0.1791
11 Sc 0.5001 0.2500 0.4993
12 Sc 0.4999 0.7500 0.5007
13 Sc 0.5606 0.0010 0.8209
14 Sc 0.5606 0.4990 0.8209
15 Sc 0.6913 0.2500 0.1273
16 Sc 0.6913 0.7500 0.1265
17 Sc 0.8087 0.2500 0.6265
18 Sc 0.8087 0.7500 0.6273
19 Sc 0.9394 0.5010 0.3209
20 Sc 0.9394 0.9990 0.3209
21 As 0.1756 0.9997 0.0840
22 As 0.1756 0.5003 0.0840
23 As 0.3244 0.0003 0.5840
24 As 0.3244 0.4997 0.5840
25 As 0.6756 0.9997 0.4160
26 As 0.6756 0.5003 0.4160
27 As 0.8244 0.0003 0.9160
28 As 0.8244 0.4997 0.9160
29 C 0.9998 0.2500 0.4986
30 C 0.0002 0.7500 0.5014
31 C 0.4998 0.2500 0.0014
32 C 0.5002 0.7500 0.9986

Largest 10 diffraction maxima, in order of rising 2θ, 2θ = 10–90°:
2θ 23.7, I = 11.9
2θ 35.3, I = 100.0
2θ 36.0, I = 40.2
2θ 37.0, I = 88.2
2θ 37.8, I = 13.8
2θ 38.3, I = 28.5
2θ 40.7, I = 19.2
2θ 48.5, I = 25.7
2θ 61.9, I = 14.9
2θ 72.0, I = 11.7

***

Entry 2:
For Sc8As3CSe3, a PBE-relaxed structure gives the calculated powder X-ray diffraction pattern in this record (Cu Kα).
Intensities are scaled so that the largest is 100.

Cell and atoms:
a = 7.6544 Å, b = 7.6544 Å, c = 7.6544 Å
α = 60.12°, β = 60.12°, γ = 60.12°
Element x y z (fractional)
1 Sc 0.2092 0.7856 0.7856
2 Sc 0.2144 0.2144 0.7908
3 Sc 0.2144 0.7908 0.2144
4 Sc 0.2445 0.2445 0.2445
5 Sc 0.7555 0.7555 0.7555
6 Sc 0.7856 0.2092 0.7856
7 Sc 0.7856 0.7856 0.2092
8 Sc 0.7908 0.2144 0.2144
9 As 0.0000 0.0000 0.5000
10 As 0.0000 0.5000 0.0000
11 As 0.5000 0.0000 0.0000
12 C 0.0000 0.0000 0.0000
13 Se 0.0000 0.5000 0.5000
14 Se 0.5000 0.0000 0.5000
15 Se 0.5000 0.5000 0.0000

Largest 10 diffraction maxima, in order of rising 2θ, 2θ = 10–90°:
2θ 14.2, I = 9.5
2θ 16.4, I = 16.0
2θ 23.2, I = 12.5
2θ 33.1, I = 100.0
2θ 37.1, I = 13.0
2θ 47.5, I = 63.2
2θ 59.0, I = 14.3
2θ 79.0, I = 10.5
2θ 79.1, I = 11.1
2θ 88.3, I = 11.1